# 1
Calculated X-ray powder pattern
Compound: Li3Fe3P4O16
Radiation: Cu Kα, 1.54184 Å
Structure: a crystal structure in the Materials Project, relaxed with PBE+U

Peak list (8 most intense, 2θ = 15–90°, by angle)
21.64°, intensity 39.9; 25.10°, intensity 35.9; 25.81°, intensity 100.0; 29.72°, intensity 41.0; 30.80°, intensity 35.8; 31.43°, intensity 56.4; 31.75°, intensity 47.9; 32.70°, intensity 64.1

Atomic structure:
Cell lengths 6.093, 11.277, 8.861 Å; angles 90.00, 100.48, 90.00 degrees
Fractional coordinates of all 52 atoms:
Li  0.106  0.000  0.148
Li  0.164  0.703  0.423
Li  0.353  0.923  0.563
Li  0.647  0.423  0.437
Li  0.836  0.203  0.577
Li  0.894  0.500  0.852
Fe  0.080  0.393  0.235
Fe  0.380  0.609  0.857
Fe  0.388  0.217  0.740
Fe  0.612  0.717  0.260
Fe  0.620  0.109  0.143
Fe  0.920  0.893  0.765
P  0.071  0.721  0.091
P  0.131  0.445  0.586
P  0.366  0.177  0.397
P  0.454  0.897  0.891
P  0.546  0.397  0.109
P  0.634  0.677  0.603
P  0.869  0.945  0.414
P  0.929  0.221  0.909
O  0.021  0.844  0.015
O  0.084  0.877  0.416
O  0.101  0.624  0.973
O  0.121  0.186  0.821
O  0.144  0.546  0.707
O  0.148  0.251  0.344
O  0.149  0.501  0.428
O  0.234  0.916  0.775
O  0.289  0.722  0.217
O  0.340  0.116  0.554
O  0.341  0.364  0.641
O  0.364  0.437  0.198
O  0.372  0.081  0.272
O  0.421  0.749  0.583
O  0.462  0.979  0.030
O  0.483  0.765  0.943
O  0.517  0.265  0.057
O  0.538  0.479  0.970
O  0.579  0.249  0.417
O  0.628  0.581  0.728
O  0.636  0.937  0.802
O  0.659  0.864  0.359
O  0.660  0.616  0.446
O  0.711  0.222  0.783
O  0.766  0.416  0.225
O  0.851  0.001  0.572
O  0.852  0.751  0.656
O  0.856  0.046  0.293
O  0.879  0.686  0.179
O  0.899  0.124  0.027
O  0.916  0.377  0.584
O  0.979  0.344  0.985



# 2
Calculated X-ray powder pattern
Compound: MgMn4Ni2O12
Radiation: Cu Kα, 1.54184 Å
Structure: a crystal structure in the Materials Project, relaxed with PBE+U

Peak list (8 most intense, 2θ = 15–90°, by angle)
17.65°, intensity 100.0; 35.73°, intensity 17.3; 38.26°, intensity 8.6; 38.74°, intensity 7.9; 40.76°, intensity 7.9; 41.43°, intensity 8.3; 41.93°, intensity 9.0; 64.42°, intensity 8.5

Atomic structure:
Cell lengths 5.004, 5.044, 10.218 Å; angles 80.31, 88.38, 60.40 degrees
Fractional coordinates of all 19 atoms:
Mg  0.000  0.000  0.000
Mn  0.030  0.214  0.253
Mn  0.212  0.842  0.738
Mn  0.551  0.173  0.743
Mn  0.700  0.883  0.251
Ni  0.365  0.549  0.251
Ni  0.880  0.507  0.744
O  0.020  0.602  0.149
O  0.020  0.868  0.351
O  0.200  0.543  0.650
O  0.220  0.128  0.845
O  0.338  0.923  0.149
O  0.381  0.176  0.343
O  0.536  0.881  0.650
O  0.572  0.460  0.842
O  0.712  0.510  0.343
O  0.716  0.228  0.141
O  0.865  0.191  0.642
O  0.901  0.826  0.853



# 3
Calculated X-ray powder pattern
Compound: FeRe2O6
Radiation: Cu Kα, 1.54184 Å
Structure: a crystal structure in the Materials Project, relaxed with PBE+U

Peak list (8 most intense, 2θ = 15–90°, by angle)
21.25°, intensity 39.6; 26.25°, intensity 100.0; 36.80°, intensity 66.6; 37.46°, intensity 24.3; 43.46°, intensity 13.6; 50.64°, intensity 9.7; 53.52°, intensity 55.5; 67.15°, intensity 16.1

Atomic structure:
Cell lengths 4.802, 4.802, 8.509 Å; angles 90.00, 90.00, 90.10 degrees
Fractional coordinates of all 18 atoms:
Fe  0.000  0.000  0.000
Fe  0.500  0.500  0.500
Re  0.000  0.000  0.348
Re  0.000  0.000  0.652
Re  0.500  0.500  0.151
Re  0.500  0.500  0.849
O  0.207  0.207  0.174
O  0.207  0.207  0.826
O  0.220  0.220  0.500
O  0.279  0.721  0.000
O  0.293  0.707  0.326
O  0.293  0.707  0.674
O  0.707  0.293  0.326
O  0.707  0.293  0.674
O  0.721  0.279  0.000
O  0.780  0.780  0.500
O  0.793  0.793  0.174
O  0.793  0.793  0.826



# 4
Calculated X-ray powder pattern
Compound: Li6MnO4
Radiation: Cu Kα, 1.54184 Å
Structure: a crystal structure in the Materials Project, relaxed with PBE+U

Peak list (8 most intense, 2θ = 15–90°, by angle)
18.72°, intensity 38.9; 23.02°, intensity 100.0; 26.59°, intensity 24.9; 32.75°, intensity 52.6; 35.45°, intensity 56.2; 42.70°, intensity 29.5; 44.86°, intensity 27.2; 54.83°, intensity 70.2

Atomic structure:
Cell lengths 6.704, 6.704, 4.728 Å; angles 90.00, 90.00, 90.00 degrees
Fractional coordinates of all 22 atoms:
Li  0.034  0.534  0.250
Li  0.034  0.966  0.250
Li  0.250  0.250  0.213
Li  0.250  0.250  0.713
Li  0.466  0.534  0.250
Li  0.466  0.966  0.250
Li  0.534  0.034  0.750
Li  0.534  0.466  0.750
Li  0.750  0.750  0.287
Li  0.750  0.750  0.787
Li  0.966  0.034  0.750
Li  0.966  0.466  0.750
Mn  0.250  0.750  0.750
Mn  0.750  0.250  0.250
O  0.016  0.250  0.473
O  0.250  0.016  0.973
O  0.250  0.484  0.973
O  0.484  0.250  0.473
O  0.516  0.750  0.527
O  0.750  0.516  0.027
O  0.750  0.984  0.027
O  0.984  0.750  0.527



# 5
Calculated X-ray powder pattern
Compound: Li2V3NiO8
Radiation: Cu Kα, 1.54184 Å
Structure: a crystal structure in the Materials Project, relaxed with PBE+U

Peak list (8 most intense, 2θ = 15–90°, by angle)
18.23°, intensity 55.7; 19.71°, intensity 100.0; 32.75°, intensity 39.6; 35.73°, intensity 70.2; 36.54°, intensity 39.7; 40.03°, intensity 38.6; 45.33°, intensity 51.0; 59.85°, intensity 47.8

Atomic structure:
Cell lengths 5.869, 5.869, 9.732 Å; angles 90.00, 90.00, 120.00 degrees
Fractional coordinates of all 28 atoms:
Li  0.000  0.000  0.000
Li  0.000  0.000  0.500
Li  0.333  0.667  0.399
Li  0.667  0.333  0.899
V  0.146  0.807  0.717
V  0.193  0.339  0.717
V  0.339  0.193  0.217
V  0.661  0.854  0.717
V  0.807  0.146  0.217
V  0.854  0.661  0.217
Ni  0.333  0.667  0.996
Ni  0.667  0.333  0.496
O  0.000  0.000  0.315
O  0.000  0.000  0.815
O  0.035  0.529  0.836
O  0.145  0.320  0.112
O  0.175  0.855  0.112
O  0.320  0.145  0.612
O  0.333  0.667  0.604
O  0.471  0.506  0.836
O  0.494  0.965  0.836
O  0.506  0.471  0.336
O  0.529  0.035  0.336
O  0.667  0.333  0.104
O  0.680  0.825  0.112
O  0.825  0.680  0.612
O  0.855  0.175  0.612
O  0.965  0.494  0.336



# 6
Calculated X-ray powder pattern
Compound: Li9Mn2Co5O16
Radiation: Cu Kα, 1.54184 Å
Structure: a crystal structure in the Materials Project, relaxed with PBE+U

Peak list (8 most intense, 2θ = 15–90°, by angle)
18.28°, intensity 100.0; 34.96°, intensity 15.6; 36.45°, intensity 25.1; 42.02°, intensity 29.8; 44.23°, intensity 51.7; 47.37°, intensity 9.9; 62.47°, intensity 14.8; 62.83°, intensity 14.7

Atomic structure:
Cell lengths 10.155, 10.155, 5.219 Å; angles 97.97, 97.97, 32.81 degrees
Fractional coordinates of all 32 atoms:
Li  0.000  0.000  0.000
Li  0.133  0.638  0.753
Li  0.256  0.256  0.486
Li  0.376  0.872  0.239
Li  0.501  0.501  0.988
Li  0.638  0.133  0.753
Li  0.758  0.758  0.491
Li  0.872  0.376  0.239
Li  0.881  0.881  0.247
Mn  0.004  0.507  0.998
Mn  0.507  0.004  0.998
Co  0.126  0.126  0.735
Co  0.251  0.750  0.482
Co  0.380  0.380  0.242
Co  0.628  0.628  0.744
Co  0.750  0.251  0.482
O  0.067  0.067  0.378
O  0.077  0.552  0.321
O  0.197  0.197  0.107
O  0.205  0.675  0.145
O  0.307  0.307  0.863
O  0.327  0.815  0.852
O  0.441  0.441  0.615
O  0.448  0.934  0.660
O  0.552  0.077  0.321
O  0.563  0.563  0.378
O  0.675  0.205  0.145
O  0.701  0.701  0.123
O  0.808  0.808  0.869
O  0.815  0.327  0.852
O  0.934  0.448  0.660
O  0.949  0.949  0.627



# 7
Calculated X-ray powder pattern
Compound: CoH6C2S2N2O3
Radiation: Cu Kα, 1.54184 Å
Structure: a crystal structure in the Materials Project, relaxed with PBE+U

Peak list (8 most intense, 2θ = 15–90°, by angle)
16.66°, intensity 41.3; 18.14°, intensity 96.6; 18.29°, intensity 75.0; 22.09°, intensity 50.9; 26.92°, intensity 73.1; 30.54°, intensity 100.0; 37.73°, intensity 35.7; 41.21°, intensity 44.5

Atomic structure:
Cell lengths 7.014, 7.014, 10.647 Å; angles 91.21, 91.21, 51.36 degrees
Fractional coordinates of all 32 atoms:
Co  0.000  0.500  0.000
Co  0.500  0.000  0.500
H  0.005  0.255  0.507
H  0.062  0.105  0.894
H  0.105  0.062  0.394
H  0.116  0.785  0.792
H  0.215  0.884  0.708
H  0.255  0.005  0.007
H  0.745  0.995  0.993
H  0.785  0.116  0.292
H  0.884  0.215  0.208
H  0.895  0.938  0.606
H  0.938  0.895  0.106
H  0.995  0.745  0.493
C  0.252  0.408  0.266
C  0.408  0.252  0.766
C  0.592  0.748  0.234
C  0.748  0.592  0.734
S  0.370  0.402  0.402
S  0.402  0.370  0.902
S  0.598  0.630  0.098
S  0.630  0.598  0.598
N  0.170  0.412  0.168
N  0.412  0.170  0.668
N  0.588  0.830  0.332
N  0.830  0.588  0.832
O  0.066  0.934  0.750
O  0.098  0.151  0.974
O  0.151  0.098  0.474
O  0.849  0.902  0.526
O  0.902  0.849  0.026
O  0.934  0.066  0.250



# 8
Calculated X-ray powder pattern
Compound: Li5Fe3Sb2O10
Radiation: Cu Kα, 1.54184 Å
Structure: a crystal structure in the Materials Project, relaxed with PBE+U

Peak list (8 most intense, 2θ = 15–90°, by angle)
17.40°, intensity 51.4; 17.76°, intensity 100.0; 21.89°, intensity 31.4; 25.45°, intensity 24.9; 35.39°, intensity 32.1; 40.53°, intensity 53.0; 41.33°, intensity 46.7; 41.75°, intensity 44.2

Atomic structure:
Cell lengths 5.273, 5.391, 8.238 Å; angles 71.55, 71.87, 80.19 degrees
Fractional coordinates of all 20 atoms:
Li  0.000  0.000  0.000
Li  0.002  0.633  0.794
Li  0.487  0.900  0.706
Li  0.975  0.159  0.615
Li  0.983  0.815  0.408
Fe  0.483  0.095  0.315
Fe  0.496  0.707  0.098
Fe  0.992  0.403  0.205
Sb  0.482  0.501  0.504
Sb  0.499  0.299  0.906
O  0.250  0.472  0.340
O  0.250  0.852  0.545
O  0.255  0.076  0.131
O  0.256  0.619  0.953
O  0.264  0.249  0.765
O  0.721  0.340  0.058
O  0.724  0.527  0.677
O  0.727  0.968  0.870
O  0.734  0.735  0.274
O  0.741  0.168  0.452